Computed powder X-ray diffraction pattern of SrEu3Ni2O8 for λ = 1.5418 Å (Cu Kα), from a crystal structure in Alexandria, relaxed with PBE+U.
Neutral-atom scattering factors, no anomalous dispersion.

Atomic structure:
Lattice parameters (Å, degrees): 5.3844 5.3983 12.3006 90.00 90.00 90.00
Space group Amm2 (No. 38)
Inequivalent atoms, fractional coordinates:
Sr (0.0000, 0.0000, 0.0000)
Eu (0.0000, 0.0000, 0.7182)
Eu (0.5000, 0.0000, 0.2174)
Eu (0.5000, 0.0000, 0.4970)
Ni (0.0000, 0.0000, 0.3590)
Ni (0.5000, 0.0000, 0.8598)
O (0.0000, 0.0000, 0.1964)
O (0.0000, 0.0000, 0.5287)
O (0.2535, 0.2458, 0.3546)
O (0.5000, 0.0000, 0.0294)
O (0.5000, 0.0000, 0.6851)

Principal peaks in the range 2θ from 10° to 90°, by angle:
index, Position (°2θ), I_rel
1 1 1, 24.45, 23.4
1 1 3, 32.06, 100.0
2 0 0, 33.24, 70.7
1 1 5, 43.80, 16.0
2 0 4, 44.71, 29.4
2 2 0, 47.71, 35.0
1 3 3, 58.59, 18.3
3 1 3, 58.70, 18.2